# 1
Theoretical powder XRD pattern of Na7Fe3O8 for Cu Ka, from a crystal structure in the Materials Project, relaxed with PBE+U.
Peak positions follow from Bragg's law for the DFT cell and can differ from measured ones.

Cell and atoms:
Unit cell a=6.0049 b=8.4450 c=11.5087 alpha=68.55 beta=87.35 gamma=70.50
Space group P-1 (No. 2)
Inequivalent atoms, fractional coordinates:
Na: 0.0000 0.2201 0.2190 [2 per cell]
Na: 0.0417 0.2175 0.7197 [2 per cell]
Na: 0.1245 0.5736 0.0662 [2 per cell]
Na: 0.1959 0.5865 0.5477 [2 per cell]
Na: 0.2210 0.0407 0.0278 [2 per cell]
Na: 0.2290 0.9972 0.5501 [2 per cell]
Na: 0.3736 0.3821 0.8361 [2 per cell]
Fe: 0.3156 0.3879 0.3514 [2 per cell]
Fe: 0.4415 0.8085 0.3468 [2 per cell]
Fe: 0.4563 0.8261 0.8624 [2 per cell]
O: 0.0114 0.4765 0.2727 [2 per cell]
O: 0.1464 0.9296 0.3837 [2 per cell]
O: 0.1798 0.8365 0.9445 [2 per cell]
O: 0.2602 0.3076 0.0364 [2 per cell]
O: 0.2938 0.2656 0.5299 [2 per cell]
O: 0.4027 0.5924 0.3421 [2 per cell]
O: 0.4384 0.7452 0.7243 [2 per cell]
O: 0.4471 0.0817 0.8110 [2 per cell]

Most intense lines, 2θ from 10° to 90°, by angle:
hkl  2θ/deg  I (rel.)
1 0 0  15.71  46.4
1 2 0  23.90  100.0
2 2 0  32.73  50.8
0 2 -2  34.28  59.9
1 2 4  34.57  50.6
1 0 -4  35.97  69.5
2 0 2  37.34  76.4
1 4 2  42.84  55.3



# 2
Theoretical powder XRD pattern of Na8Fe5O14 for Cu Ka, from a crystal structure in the Materials Project, relaxed with PBE+U.
Peak positions follow from Bragg's law for the DFT cell and can differ from measured ones.

Cell and atoms:
Unit cell a=8.4078 b=8.6446 c=10.5741 alpha=103.94 beta=102.39 gamma=112.84
Space group P-1 (No. 2)
Inequivalent atoms, fractional coordinates:
Na: 0.0000 0.0000 0.0000 [1 per cell]
Na: 0.0526 0.8272 0.4839 [2 per cell]
Na: 0.0625 0.6266 0.9352 [2 per cell]
Na: 0.1272 0.4877 0.3925 [2 per cell]
Na: 0.1964 0.1265 0.3343 [2 per cell]
Na: 0.2121 0.9183 0.7947 [2 per cell]
Na: 0.3229 0.8360 0.3265 [2 per cell]
Na: 0.3909 0.0234 0.1180 [2 per cell]
Na: 0.5000 0.5000 0.5000 [1 per cell]
Fe: 0.1277 0.2759 0.8487 [2 per cell]
Fe: 0.2856 0.5706 0.7170 [2 per cell]
Fe: 0.3210 0.3895 0.1674 [2 per cell]
Fe: 0.3585 0.2303 0.6612 [2 per cell]
Fe: 0.4637 0.6720 0.0289 [2 per cell]
O: 0.0636 0.4119 0.7411 [2 per cell]
O: 0.1019 0.8565 0.1484 [2 per cell]
O: 0.1063 0.2661 0.1917 [2 per cell]
O: 0.1274 0.1031 0.6884 [2 per cell]
O: 0.1823 0.6710 0.6177 [2 per cell]
O: 0.2251 0.4853 0.0306 [2 per cell]
O: 0.2537 0.3562 0.5649 [2 per cell]
O: 0.2810 0.2056 0.9854 [2 per cell]
O: 0.3301 0.0585 0.5126 [2 per cell]
O: 0.3499 0.7594 0.9063 [2 per cell]
O: 0.3967 0.6018 0.3239 [2 per cell]
O: 0.4210 0.4548 0.8494 [2 per cell]
O: 0.4587 0.3020 0.2730 [2 per cell]
O: 0.4763 0.1515 0.7976 [2 per cell]

Most intense lines, 2θ from 10° to 90°, by angle:
hkl  2θ/deg  I (rel.)
0 1 0  11.91  56.6
0 1 -1  12.15  40.7
1 -1 0  12.47  100.0
-3 2 1  33.64  30.4
1 1 -4  34.38  25.3
-1 2 3  38.71  74.6
2 -3 3  40.43  81.0
3 1 -2  40.72  79.8



# 3
Theoretical powder XRD pattern of Na4FeO5 for Cu Ka, from a crystal structure in the Materials Project, relaxed with PBE+U.
Peak positions follow from Bragg's law for the DFT cell and can differ from measured ones.

Cell and atoms:
Unit cell a=7.3896 b=9.3202 c=7.3928 alpha=90.00 beta=90.06 gamma=90.00
Space group P2 (No. 3)
Inequivalent atoms, fractional coordinates:
Na: 0.1019 0.9999 0.2888 [2 per cell]
Na: 0.1049 0.4999 0.2958 [2 per cell]
Na: 0.2037 0.7503 0.6052 [2 per cell]
Na: 0.2104 0.2512 0.6027 [2 per cell]
Na: 0.2889 0.0000 0.8983 [2 per cell]
Na: 0.2960 0.4999 0.8955 [2 per cell]
Na: 0.3951 0.7503 0.2035 [2 per cell]
Na: 0.3974 0.2512 0.2103 [2 per cell]
Fe: 0.0000 0.2592 0.0000 [1 per cell]
Fe: 0.0000 0.7215 0.0000 [1 per cell]
Fe: 0.5000 0.5280 0.5000 [1 per cell]
Fe: 0.5000 0.9908 0.5000 [1 per cell]
O: 0.0000 0.0584 0.0000 [1 per cell]
O: 0.0000 0.4762 0.0000 [1 per cell]
O: 0.0690 0.7468 0.2374 [2 per cell]
O: 0.0703 0.2555 0.2450 [2 per cell]
O: 0.2374 0.7468 0.9313 [2 per cell]
O: 0.2451 0.2554 0.9300 [2 per cell]
O: 0.2548 0.9956 0.5700 [2 per cell]
O: 0.2626 0.5037 0.5686 [2 per cell]
O: 0.4297 0.9957 0.2551 [2 per cell]
O: 0.4312 0.5037 0.2627 [2 per cell]
O: 0.5000 0.1919 0.5000 [1 per cell]
O: 0.5000 0.7762 0.5000 [1 per cell]

Most intense lines, 2θ from 10° to 90°, by angle:
hkl  2θ/deg  I (rel.)
1 0 -1  16.96  67.1
1 2 0  22.56  47.1
1 2 -2  33.23  52.3
1 0 3  38.52  100.0
0 4 0  38.64  53.3
4 0 2  55.61  29.6
1 4 3  55.70  50.3
0 2 5  66.34  28.2



# 4
Theoretical powder XRD pattern of Na10Fe4O9 for Cu Ka, from a crystal structure in the Materials Project, relaxed with PBE+U.
Peak positions follow from Bragg's law for the DFT cell and can differ from measured ones.

Cell and atoms:
Unit cell a=13.6713 b=11.0857 c=8.8244 alpha=90.00 beta=106.50 gamma=90.00
Space group Cm (No. 8)
Inequivalent atoms, fractional coordinates:
Na: 0.0000 0.0000 0.0000 [2 per cell]
Na: 0.0007 0.2351 0.4763 [4 per cell]
Na: 0.0276 0.3091 0.1044 [4 per cell]
Na: 0.1261 0.3667 0.7602 [4 per cell]
Na: 0.1412 0.5000 0.0579 [2 per cell]
Na: 0.1654 0.1306 0.3097 [4 per cell]
Na: 0.2133 0.1572 0.6325 [4 per cell]
Na: 0.2779 0.3458 0.3799 [4 per cell]
Na: 0.2819 0.5000 0.6472 [2 per cell]
Na: 0.3578 0.1301 0.2264 [4 per cell]
Na: 0.3786 0.0000 0.9274 [2 per cell]
Na: 0.4168 0.2273 0.7502 [4 per cell]
Fe: 0.0303 0.0000 0.6614 [2 per cell]
Fe: 0.0866 0.5000 0.4020 [2 per cell]
Fe: 0.1776 0.1437 0.9639 [4 per cell]
Fe: 0.3204 0.3505 0.0316 [4 per cell]
Fe: 0.4009 0.0000 0.5722 [2 per cell]
Fe: 0.4654 0.5000 0.3171 [2 per cell]
O: 0.0578 0.1596 0.7729 [4 per cell]
O: 0.1090 0.0000 0.4860 [2 per cell]
O: 0.1471 0.3526 0.5076 [4 per cell]
O: 0.1928 0.0000 0.1104 [2 per cell]
O: 0.1975 0.2929 0.1165 [4 per cell]
O: 0.2722 0.5000 0.9043 [2 per cell]
O: 0.3099 0.1913 0.9026 [4 per cell]
O: 0.3492 0.1560 0.4865 [4 per cell]
O: 0.3902 0.5000 0.4902 [2 per cell]
O: 0.4562 0.3444 0.1988 [4 per cell]
O: 0.4910 0.0000 0.1917 [2 per cell]
O: 0.4980 0.0000 0.7840 [2 per cell]

Most intense lines, 2θ from 10° to 90°, by angle:
hkl  2θ/deg  I (rel.)
2 0 -1  14.56  55.5
0 0 2  20.99  45.4
3 1 -1  21.58  97.6
3 3 -2  34.84  93.1
2 4 0  35.17  97.1
1 1 3  35.34  100.0
5 1 -3  40.60  34.6
3 3 3  49.72  58.1